Cs2TeO2: calculated PXRD pattern (Cu Kα), based on a crystal structure in Alexandria, relaxed with PBE.
Lines closer than 0.1° are merged.

The 12 most intense peaks (2θ = 10–80°), by angle:
hkl 2 1 0, 21.06 deg, I = 83; hkl 0 0 1, 25.89 deg, I = 53; hkl 2 2 0, 26.73 deg, I = 16; hkl 3 1 0, 29.96 deg, I = 100; hkl 2 1 1, 33.61 deg, I = 88; hkl 3 1 1, 40.00 deg, I = 69; hkl 4 2 0, 42.88 deg, I = 14; hkl 4 2 1, 50.77 deg, I = 14; hkl 4 4 0, 55.07 deg, I = 14; hkl 5 2 1, 59.19 deg, I = 25; hkl 4 4 1, 61.83 deg, I = 17; hkl 3 1 2, 62.30 deg, I = 25

Structure:
```
data_Cs2TeO2
_cell_length_a 9.4329
_cell_length_b 9.4329
_cell_length_c 3.4411
_cell_angle_alpha 90.00
_cell_angle_beta 90.00
_cell_angle_gamma 90.00
_space_group_name_H-M_alt 'P 4/m b m'
_space_group_IT_number 127
_space_group_name_Hall '-P 4 2ab'
loop_
_atom_site_label
_atom_site_fract_x
_atom_site_fract_y
_atom_site_fract_z
Cs1 0.1407 0.3593 0.0000
Te1 0.0000 0.0000 0.0000
O1 0.1563 0.6563 0.5000
```



Cs2Te4O9: calculated PXRD pattern (Cu Kα), based on a crystal structure in Alexandria, relaxed with PBE.
Lines closer than 0.1° are merged.

The 12 most intense peaks (2θ = 10–80°), by angle:
hkl 1 1 2, 14.23 deg, I = 13; hkl 2 0 4, 23.54 deg, I = 22; hkl 3 1 2, 27.08 deg, I = 100; hkl 1 1 6, 28.12 deg, I = 45; hkl 2 2 4, 28.68 deg, I = 49; hkl 5 1 2, 42.92 deg, I = 22; hkl 3 3 6, 43.62 deg, I = 14; hkl 1 1 10, 45.00 deg, I = 12; hkl 4 4 0, 46.84 deg, I = 17; hkl 4 0 8, 48.15 deg, I = 29; hkl 5 3 6, 55.51 deg, I = 15; hkl 6 2 4, 55.85 deg, I = 16

Structure:
```
data_Cs2Te4O9
_cell_length_a 10.9720
_cell_length_b 10.9720
_cell_length_c 20.8613
_cell_angle_alpha 90.00
_cell_angle_beta 90.00
_cell_angle_gamma 90.00
_space_group_name_H-M_alt 'I -4 2 d'
_space_group_IT_number 122
_space_group_name_Hall 'I -4 2bw'
loop_
_atom_site_label
_atom_site_fract_x
_atom_site_fract_y
_atom_site_fract_z
Cs1 0.0000 0.0000 0.2464
Cs2 0.2248 0.7500 0.6250
Te1 0.1071 0.6363 0.8210
Te2 0.1231 0.6264 0.3107
O1 0.0000 0.0000 0.3977
O2 0.0099 0.2033 0.4835
O3 0.0532 0.7150 0.9023
O4 0.0676 0.6712 0.2279
O5 0.1749 0.2125 0.1981
```



CsTiTe2O8: calculated PXRD pattern (Cu Kα), based on a crystal structure in Alexandria, relaxed with PBE.
Lines closer than 0.1° are merged.

The 12 most intense peaks (2θ = 10–80°), by angle:
hkl 1 0 1, 21.07 deg, I = 100; hkl 0 1 2, 26.92 deg, I = 77; hkl 0 0 3, 28.91 deg, I = 17; hkl 1 1 0, 32.76 deg, I = 45; hkl 0 2 1, 39.27 deg, I = 19; hkl 2 0 2, 42.90 deg, I = 20; hkl 1 0 4, 43.49 deg, I = 20; hkl 1 1 3, 44.24 deg, I = 17; hkl 2 1 1, 52.04 deg, I = 18; hkl 3 -2 2, 55.00 deg, I = 21; hkl 3 0 0, 58.47 deg, I = 13; hkl 2 1 4, 65.96 deg, I = 12

Structure:
```
data_CsTiTe2O8
_cell_length_a 5.4681
_cell_length_b 5.4681
_cell_length_c 9.2652
_cell_angle_alpha 90.00
_cell_angle_beta 90.00
_cell_angle_gamma 120.00
_space_group_name_H-M_alt 'P -3'
_space_group_IT_number 147
_space_group_name_Hall '-P 3'
loop_
_atom_site_label
_atom_site_fract_x
_atom_site_fract_y
_atom_site_fract_z
Cs1 0.0000 0.0000 0.0000
Ti1 0.0000 0.0000 0.5000
Te1 0.3333 0.6667 0.6840
O1 0.0313 0.3079 0.6248
O2 0.3333 0.6667 0.8813
```



CsTl2TeO6: calculated PXRD pattern (Cu Kα), based on a crystal structure in Alexandria, relaxed with PBE.
Lines closer than 0.1° are merged.

The 12 most intense peaks (2θ = 10–80°), by angle:
hkl 0 0 3, 12.55 deg, I = 100; hkl 1 0 1, 17.98 deg, I = 16; hkl 1 0 4, 24.31 deg, I = 15; hkl 0 0 6, 25.25 deg, I = 31; hkl 0 1 5, 27.44 deg, I = 30; hkl 1 1 0, 30.52 deg, I = 73; hkl 2 -1 3, 33.12 deg, I = 40; hkl 2 -1 6, 40.01 deg, I = 69; hkl 3 0 0, 54.25 deg, I = 20; hkl 0 3 3, 55.91 deg, I = 12; hkl 0 3 6, 60.74 deg, I = 18; hkl 2 2 6, 69.50 deg, I = 13

Structure:
```
data_CsTl2TeO6
_cell_length_a 5.8578
_cell_length_b 5.8578
_cell_length_c 21.1623
_cell_angle_alpha 90.00
_cell_angle_beta 90.00
_cell_angle_gamma 120.00
_space_group_name_H-M_alt 'R -3'
_space_group_IT_number 148
_space_group_name_Hall '-R 3'
loop_
_atom_site_label
_atom_site_fract_x
_atom_site_fract_y
_atom_site_fract_z
Cs1 0.0000 0.0000 0.0000
Tl1 0.0000 0.0000 0.1828
Te1 0.0000 0.0000 0.5000
O1 0.0189 0.2938 0.5520
```



CsTmTe2O8: calculated PXRD pattern (Cu Kα), based on a crystal structure in Alexandria, relaxed with PBE.
Lines closer than 0.1° are merged.

The 12 most intense peaks (2θ = 10–80°), by angle:
hkl 1 0 0, 17.74 deg, I = 21; hkl 0 1 1, 20.23 deg, I = 70; hkl 0 1 2, 26.37 deg, I = 100; hkl 1 1 0, 30.97 deg, I = 57; hkl 2 0 2, 41.12 deg, I = 31; hkl 1 0 4, 43.41 deg, I = 14; hkl 1 2 1, 49.22 deg, I = 12; hkl 1 1 4, 50.85 deg, I = 22; hkl 3 -2 2, 52.36 deg, I = 30; hkl 3 0 0, 55.10 deg, I = 14; hkl 0 1 6, 63.64 deg, I = 9; hkl 3 1 2, 71.00 deg, I = 12

Structure:
```
data_CsTmTe2O8
_cell_length_a 5.7742
_cell_length_b 5.7742
_cell_length_c 9.1733
_cell_angle_alpha 90.00
_cell_angle_beta 90.00
_cell_angle_gamma 120.00
_space_group_name_H-M_alt 'P -3'
_space_group_IT_number 147
_space_group_name_Hall '-P 3'
loop_
_atom_site_label
_atom_site_fract_x
_atom_site_fract_y
_atom_site_fract_z
Cs1 0.0000 0.0000 0.0000
Tm1 0.0000 0.0000 0.5000
Te1 0.3333 0.6667 0.7141
O1 0.0761 0.3357 0.6463
O2 0.3333 0.6667 0.9126
```



Repeat the fourth record exactly.
CsTl2TeO6: calculated PXRD pattern (Cu Kα), based on a crystal structure in Alexandria, relaxed with PBE.
Lines closer than 0.1° are merged.

The 12 most intense peaks (2θ = 10–80°), by angle:
hkl 0 0 3, 12.55 deg, I = 100; hkl 1 0 1, 17.98 deg, I = 16; hkl 1 0 4, 24.31 deg, I = 15; hkl 0 0 6, 25.25 deg, I = 31; hkl 0 1 5, 27.44 deg, I = 30; hkl 1 1 0, 30.52 deg, I = 73; hkl 2 -1 3, 33.12 deg, I = 40; hkl 2 -1 6, 40.01 deg, I = 69; hkl 3 0 0, 54.25 deg, I = 20; hkl 0 3 3, 55.91 deg, I = 12; hkl 0 3 6, 60.74 deg, I = 18; hkl 2 2 6, 69.50 deg, I = 13

Structure:
```
data_CsTl2TeO6
_cell_length_a 5.8578
_cell_length_b 5.8578
_cell_length_c 21.1623
_cell_angle_alpha 90.00
_cell_angle_beta 90.00
_cell_angle_gamma 120.00
_space_group_name_H-M_alt 'R -3'
_space_group_IT_number 148
_space_group_name_Hall '-R 3'
loop_
_atom_site_label
_atom_site_fract_x
_atom_site_fract_y
_atom_site_fract_z
Cs1 0.0000 0.0000 0.0000
Tl1 0.0000 0.0000 0.1828
Te1 0.0000 0.0000 0.5000
O1 0.0189 0.2938 0.5520
```